Record 1
This entry pairs a crystal structure of Sc3InO with its calculated powder diffraction line list. Radiation: Cu Kα. Structure: a PBE-relaxed structure.
Kinematic intensities with the Lorentz-polarization factor, no thermal factor.

Peak list (10 most intense, 10 to 90 degrees two-theta, in order of falling intensity)
- 2.653 Å, 33.79°, rel. 100
- 2.547 Å, 35.24°, rel. 89
- 2.297 Å, 39.21°, rel. 84
- 1.575 Å, 58.61°, rel. 59
- 2.163 Å, 41.75°, rel. 35
- 3.567 Å, 24.96°, rel. 35
- 1.402 Å, 66.74°, rel. 25
- 1.326 Å, 71.11°, rel. 23
- 1.354 Å, 69.39°, rel. 22
- 2.445 Å, 36.76°, rel. 20

Structural model:
a = 3.357 Å, b = 4.327 Å, c = 6.301 Å
α = 90.00°, β = 90.09°, γ = 90.00°
Sites, in units of the cell vectors:
1 Sc 0.000 0.000 0.000
2 Sc 0.499 0.500 0.758
3 Sc 0.501 0.500 0.242
4 In 0.000 0.000 0.500
5 O 0.000 0.500 0.000

***

Record 2
This entry pairs a crystal structure of TbScIn2O6 with its calculated powder diffraction line list. Radiation: Cu Kα. Structure: a PBE-relaxed structure.
Kinematic intensities with the Lorentz-polarization factor, no thermal factor.

Peak list (10 most intense, 10 to 90 degrees two-theta, in order of falling intensity)
- 2.948 Å, 30.32°, rel. 100
- 2.796 Å, 32.00°, rel. 89
- 2.029 Å, 44.66°, rel. 40
- 1.642 Å, 56.00°, rel. 39
- 1.854 Å, 49.13°, rel. 32
- 1.615 Å, 57.04°, rel. 28
- 4.605 Å, 19.27°, rel. 24
- 4.058 Å, 21.90°, rel. 19
- 2.435 Å, 36.91°, rel. 15
- 1.263 Å, 75.21°, rel. 14

Structural model:
a = 5.914 Å, b = 5.914 Å, c = 5.914 Å
α = 56.44°, β = 56.44°, γ = 56.44°
Sites, in units of the cell vectors:
1 Tb 0.000 0.000 0.000
2 Sc 0.492 0.492 0.492
3 In 0.280 0.280 0.280
4 In 0.784 0.784 0.784
5 O 0.098 0.672 0.404
6 O 0.198 0.585 0.879
7 O 0.404 0.098 0.672
8 O 0.585 0.879 0.198
9 O 0.672 0.404 0.098
10 O 0.879 0.198 0.585

***

Record 3
This entry pairs a crystal structure of InSe3O9 with its calculated powder diffraction line list. Radiation: Cu Kα. Structure: a PBE-relaxed structure.
Kinematic intensities with the Lorentz-polarization factor, no thermal factor.

Peak list (10 most intense, 10 to 90 degrees two-theta, in order of falling intensity)
- 4.365 Å, 20.34°, rel. 100
- 3.786 Å, 23.50°, rel. 73
- 3.262 Å, 27.34°, rel. 42
- 6.303 Å, 14.05°, rel. 42
- 2.865 Å, 31.22°, rel. 36
- 2.589 Å, 34.65°, rel. 34
- 3.079 Å, 29.00°, rel. 27
- 3.326 Å, 26.80°, rel. 25
- 2.614 Å, 34.31°, rel. 25
- 4.170 Å, 21.31°, rel. 21

Structural model:
a = 7.970 Å, b = 7.970 Å, c = 10.125 Å
α = 121.25°, β = 121.25°, γ = 61.33°
Sites, in units of the cell vectors:
1 In 0.249 0.751 0.500
2 In 0.751 0.249 0.000
3 Se 0.239 0.259 0.752
4 Se 0.259 0.239 0.252
5 Se 0.519 0.741 0.294
6 Se 0.741 0.519 0.794
7 Se 0.782 0.902 0.142
8 Se 0.902 0.782 0.642
9 O 0.043 0.250 0.770
10 O 0.045 0.291 0.092
11 O 0.086 0.847 0.656
12 O 0.182 0.466 0.722
13 O 0.242 0.446 0.426
14 O 0.250 0.043 0.270
15 O 0.291 0.045 0.592
16 O 0.439 0.641 0.357
17 O 0.446 0.242 0.926
18 O 0.466 0.182 0.222
19 O 0.543 0.700 0.714
20 O 0.641 0.439 0.857
21 O 0.669 0.896 0.473
22 O 0.700 0.543 0.214
23 O 0.835 0.960 0.805
24 O 0.847 0.086 0.156
25 O 0.896 0.669 0.973
26 O 0.960 0.835 0.305